The following is a simulated X-ray powder pattern of Li7Si2Ni3O12. It was derived from the PBE+U geometry in Alexandria, using Cu Kα.

Principal peaks in the range 2θ = 15–90°, low angle first:
2θ 18.57, rel. 100; 2θ 36.88, rel. 8; 2θ 37.28, rel. 21; 2θ 37.48, rel. 10; 2θ 44.83, rel. 55; 2θ 45.06, rel. 27; 2θ 48.99, rel. 9; 2θ 58.76, rel. 10; 2θ 64.49, rel. 22; 2θ 66.39, rel. 14

Cell and atoms:
```
data_Li7Si2Ni3O12
_symmetry_space_group_name_H-M 'C 1 2/c 1'
_symmetry_Int_Tables_number 15
_cell_length_a 4.8705
_cell_length_b 8.4876
_cell_length_c 19.1801
_cell_angle_alpha 90.00
_cell_angle_beta 94.70
_cell_angle_gamma 90.00
loop_
_symmetry_equiv_pos_as_xyz
'x,y,z'
'-x,-y,-z'
'-x,y,-z+1/2'
'x,-y,z+1/2'
'x+1/2,y+1/2,z'
'-x+1/2,-y+1/2,-z'
'-x+1/2,y+1/2,-z+1/2'
'x+1/2,-y+1/2,z+1/2'
loop_
_atom_site_label
_atom_site_type_symbol
_atom_site_fract_x
_atom_site_fract_y
_atom_site_fract_z
_atom_site_occupancy
Li1 Li 0.1138 0.2452 0.1231 1
Li2 Li 0.1305 0.4114 0.6236 1
Li3 Li 0.1321 0.0856 0.6236 1
Li4 Li 0.2500 0.2500 0.5000 1
Si1 Si 0.2498 0.0832 0.9998 1
Ni1 Ni 0.0000 0.0870 0.2500 1
Ni2 Ni 0.0000 0.2492 0.7500 1
Ni3 Ni 0.0000 0.4214 0.2500 1
O1 O 0.0469 0.4363 0.4477 1
O2 O 0.0477 0.0640 0.4480 1
O3 O 0.1051 0.2497 0.9475 1
O4 O 0.1717 0.2442 0.3083 1
O5 O 0.1958 0.0691 0.8048 1
O6 O 0.2083 0.4182 0.8083 1
```